Entry 1:
Mg2PClO4: simulated X-ray powder pattern (Cu Kα (weighted mean of Kα1 and Kα2)), based on a DFT-relaxed cell (GGA-PBE, the Materials Project).
Neutral-atom scattering factors, no anomalous dispersion.

Peak list (10 most intense, 10° ≤ 2θ ≤ 80°, low angle first)
d_spacing	two_theta	I_rel
4.553	19.50	27
3.893	22.85	21
3.654	24.36	29
3.351	26.60	32
2.978	30.00	100
2.762	32.42	26
2.370	37.97	48
2.003	45.28	20
1.811	50.38	34
1.470	63.25	19

Structure:
Cell lengths 11.0679, 8.0107, 4.8650 Å; angles 90.00, 90.00, 90.00 degrees
Sites, in units of the cell vectors:
Mg1 0.1217 0.0984 0.0000
Mg2 0.1275 0.6633 0.0067
Mg3 0.3725 0.1633 0.5067
Mg4 0.3783 0.5984 0.5000
Mg5 0.6217 0.4016 0.0000
Mg6 0.6275 0.8367 0.0067
Mg7 0.8725 0.3367 0.5067
Mg8 0.8783 0.9016 0.5000
P1 0.1664 0.8795 0.4523
P2 0.3336 0.3795 0.9523
P3 0.6664 0.6205 0.4523
P4 0.8336 0.1205 0.9523
Cl1 0.0621 0.3780 0.2571
Cl2 0.4379 0.8780 0.7571
Cl3 0.5621 0.1220 0.2571
Cl4 0.9379 0.6220 0.7571
O1 0.0421 0.8769 0.2963
O2 0.1518 0.8804 0.7682
O3 0.2296 0.0398 0.3467
O4 0.2331 0.7217 0.3473
O5 0.2669 0.2217 0.8473
O6 0.2704 0.5398 0.8467
O7 0.3482 0.3804 0.2682
O8 0.4579 0.3769 0.7963
O9 0.5421 0.6231 0.2963
O10 0.6518 0.6196 0.7682
O11 0.7296 0.4602 0.3467
O12 0.7331 0.7783 0.3473
O13 0.7669 0.2783 0.8473
O14 0.7704 0.9602 0.8467
O15 0.8482 0.1196 0.2682
O16 0.9579 0.1231 0.7963



Entry 2:
BaSrBiSbO6: simulated X-ray powder pattern (Cu Kα (weighted mean of Kα1 and Kα2)), based on a DFT-relaxed cell (GGA-PBE, the Materials Project).
Neutral-atom scattering factors, no anomalous dispersion.

Peak list (10 most intense, 10° ≤ 2θ ≤ 80°, low angle first)
d_spacing	two_theta	I_rel
4.955	17.90	4
4.291	20.70	8
3.034	29.44	100
2.588	34.67	4
2.146	42.11	27
1.752	52.21	44
1.517	61.08	17
1.357	69.21	12
1.356	69.29	6
1.239	76.97	5

Structure:
Cell lengths 8.5751, 8.5841, 8.5880 Å; angles 90.00, 90.00, 90.00 degrees
Sites, in units of the cell vectors:
Ba1 0.0000 0.0000 0.0000
Ba2 0.0000 0.0000 0.5000
Ba3 0.5000 0.0000 0.0000
Ba4 0.5000 0.5000 0.5000
Sr1 0.0000 0.5000 0.0000
Sr2 0.0000 0.5000 0.5000
Sr3 0.5000 0.0000 0.5000
Sr4 0.5000 0.5000 0.0000
Bi1 0.2499 0.2534 0.2505
Bi2 0.2499 0.7466 0.7495
Bi3 0.7501 0.2534 0.7495
Bi4 0.7501 0.7466 0.2505
Sb1 0.2500 0.2528 0.7498
Sb2 0.2500 0.7472 0.2502
Sb3 0.7500 0.2528 0.2502
Sb4 0.7500 0.7472 0.7498
O1 0.0170 0.2222 0.7215
O2 0.0170 0.7778 0.2785
O3 0.2124 0.2870 0.9813
O4 0.2124 0.7130 0.0187
O5 0.2140 0.4830 0.7080
O6 0.2140 0.5170 0.2920
O7 0.2758 0.0203 0.7802
O8 0.2758 0.9797 0.2198
O9 0.2910 0.2170 0.5192
O10 0.2910 0.7830 0.4808
O11 0.4798 0.2918 0.7864
O12 0.4798 0.7082 0.2136
O13 0.5202 0.2918 0.2136
O14 0.5202 0.7082 0.7864
O15 0.7090 0.2170 0.4808
O16 0.7090 0.7830 0.5192
O17 0.7242 0.0203 0.2198
O18 0.7242 0.9797 0.7802
O19 0.7860 0.4830 0.2920
O20 0.7860 0.5170 0.7080
O21 0.7876 0.2870 0.0187
O22 0.7876 0.7130 0.9813
O23 0.9830 0.2222 0.2785
O24 0.9830 0.7778 0.7215



Entry 3:
Li2Mg3Si2: simulated X-ray powder pattern (Cu Kα (weighted mean of Kα1 and Kα2)), based on a DFT-relaxed cell (GGA-PBE, the Materials Project).
Neutral-atom scattering factors, no anomalous dispersion.

Peak list (10 most intense, 10° ≤ 2θ ≤ 80°, low angle first)
d_spacing	two_theta	I_rel
7.359	12.03	4
3.840	23.16	6
3.677	24.20	43
2.452	36.65	4
2.252	40.04	100
1.920	47.33	18
1.592	57.91	16
1.461	63.69	7
1.300	72.74	31
1.226	77.94	6

Structure:
Cell lengths 7.8044, 7.8044, 7.8044 Å; angles 33.53, 33.53, 33.53 degrees
Sites, in units of the cell vectors:
Li1 0.0000 0.0000 0.0000
Li2 0.3759 0.3759 0.3759
Mg1 0.1208 0.1208 0.1208
Mg2 0.6182 0.6182 0.6182
Mg3 0.8638 0.8638 0.8638
Si1 0.2471 0.2471 0.2471
Si2 0.7409 0.7409 0.7409



Entry 4:
Rh2O3: simulated X-ray powder pattern (Cu Kα (weighted mean of Kα1 and Kα2)), based on a DFT-relaxed cell (GGA-PBE, the Materials Project).
Neutral-atom scattering factors, no anomalous dispersion.

Peak list (10 most intense, 10° ≤ 2θ ≤ 80°, low angle first)
d_spacing	two_theta	I_rel
3.678	24.20	13
2.757	32.48	24
2.664	33.65	100
2.615	34.30	26
1.897	47.95	20
1.870	48.69	10
1.722	53.18	10
1.573	58.69	13
1.521	60.90	10
1.519	61.01	24

Structure:
Cell lengths 5.2293, 5.5136, 14.9600 Å; angles 90.00, 90.00, 90.00 degrees
Sites, in units of the cell vectors:
Rh1 0.0013 0.1900 0.0749
Rh2 0.0013 0.2363 0.8213
Rh3 0.0013 0.2637 0.3213
Rh4 0.0013 0.3100 0.5749
Rh5 0.4987 0.6900 0.0749
Rh6 0.4987 0.7363 0.8213
Rh7 0.4987 0.7637 0.3213
Rh8 0.4987 0.8100 0.5749
Rh9 0.5013 0.1900 0.4251
Rh10 0.5013 0.2363 0.6787
Rh11 0.5013 0.2637 0.1787
Rh12 0.5013 0.3100 0.9251
Rh13 0.9987 0.6900 0.4251
Rh14 0.9987 0.7363 0.6787
Rh15 0.9987 0.7637 0.1787
Rh16 0.9987 0.8100 0.9251
O1 0.1421 0.1278 0.2028
O2 0.1421 0.3722 0.7028
O3 0.1489 0.6511 0.5526
O4 0.1489 0.8489 0.0526
O5 0.1984 0.5200 0.8764
O6 0.1984 0.9800 0.3764
O7 0.3016 0.0200 0.8764
O8 0.3016 0.4800 0.3764
O9 0.3511 0.1511 0.5526
O10 0.3511 0.3489 0.0526
O11 0.3579 0.6278 0.2028
O12 0.3579 0.8722 0.7028
O13 0.6421 0.1278 0.2972
O14 0.6421 0.3722 0.7972
O15 0.6489 0.6511 0.9474
O16 0.6489 0.8489 0.4474
O17 0.6984 0.5200 0.6236
O18 0.6984 0.9800 0.1236
O19 0.8016 0.0200 0.6236
O20 0.8016 0.4800 0.1236
O21 0.8511 0.1511 0.9474
O22 0.8511 0.3489 0.4474
O23 0.8579 0.6278 0.2972
O24 0.8579 0.8722 0.7972



Entry 5:
NaMgTl2: simulated X-ray powder pattern (Cu Kα (weighted mean of Kα1 and Kα2)), based on a DFT-relaxed cell (GGA-PBE, the Materials Project).
Neutral-atom scattering factors, no anomalous dispersion.

Peak list (8 most intense, 10° ≤ 2θ ≤ 80°, low angle first)
d_spacing	two_theta	I_rel
3.759	23.67	73
2.658	33.72	100
2.170	41.61	23
1.879	48.43	18
1.681	54.59	32
1.535	60.31	38
1.329	70.91	12
1.253	75.94	15

Structure:
Cell lengths 5.3159, 5.3159, 5.3159 Å; angles 60.00, 60.00, 60.00 degrees
Sites, in units of the cell vectors:
Na1 0.0000 0.0000 0.0000
Mg1 0.5000 0.5000 0.5000
Tl1 0.2500 0.2500 0.2500
Tl2 0.7500 0.7500 0.7500



Entry 6:
MgZnNi2: simulated X-ray powder pattern (Cu Kα (weighted mean of Kα1 and Kα2)), based on a DFT-relaxed cell (GGA-PBE, the Materials Project).
Neutral-atom scattering factors, no anomalous dispersion.

Peak list (9 most intense, 10° ≤ 2θ ≤ 80°, low angle first)
d_spacing	two_theta	I_rel
3.408	26.15	11
2.951	30.29	3
2.087	43.36	100
1.780	51.34	5
1.704	53.80	1
1.476	63.00	15
1.354	69.41	2
1.320	71.48	1
1.205	79.57	30

Structure:
Cell lengths 4.1734, 4.1734, 4.1734 Å; angles 60.00, 60.00, 60.00 degrees
Sites, in units of the cell vectors:
Mg1 0.0000 0.0000 0.0000
Zn1 0.5000 0.5000 0.5000
Ni1 0.2500 0.2500 0.2500
Ni2 0.7500 0.7500 0.7500



Repeat the sixth record exactly.
MgZnNi2: simulated X-ray powder pattern (Cu Kα (weighted mean of Kα1 and Kα2)), based on a DFT-relaxed cell (GGA-PBE, the Materials Project).
Neutral-atom scattering factors, no anomalous dispersion.

Peak list (9 most intense, 10° ≤ 2θ ≤ 80°, low angle first)
d_spacing	two_theta	I_rel
3.408	26.15	11
2.951	30.29	3
2.087	43.36	100
1.780	51.34	5
1.704	53.80	1
1.476	63.00	15
1.354	69.41	2
1.320	71.48	1
1.205	79.57	30

Structure:
Cell lengths 4.1734, 4.1734, 4.1734 Å; angles 60.00, 60.00, 60.00 degrees
Sites, in units of the cell vectors:
Mg1 0.0000 0.0000 0.0000
Zn1 0.5000 0.5000 0.5000
Ni1 0.2500 0.2500 0.2500
Ni2 0.7500 0.7500 0.7500